No. 1
# NaCaTcO4
Computed X-ray powder pattern, Cu Kα (weighted mean of Kα1 and Kα2). Input: a crystal structure in Alexandria, relaxed with PBE.
Neutral-atom scattering factors, no anomalous dispersion.

Most intense lines, 2θ from 10° to 90°, in order of rising 2θ:
d/Å  Position (°2θ)  I/Imax
5.459  16.24  52
3.398  26.23  19
3.255  27.40  100
3.153  28.30  32
2.844  31.46  86
2.786  32.12  27
2.749  32.57  44
2.730  32.80  61
1.933  47.01  21
1.839  49.56  19
1.755  52.13  17
1.627  56.56  58

Atomic structure:
```
data_NaCaTcO4
_space_group_name_H-M_alt 'I m m a'
_space_group_IT_number 74
_space_group_name_Hall '-I 2b 2'
_cell_length_a 6.307
_cell_length_b 6.796
_cell_length_c 9.165
_cell_angle_alpha 90.00
_cell_angle_beta 90.00
_cell_angle_gamma 90.00
loop_
_atom_site_label
_atom_site_fract_x
_atom_site_fract_y
_atom_site_fract_z
Na1 0.250 0.250 0.250
Ca1 0.000 0.000 0.000
Tc1 0.000 0.250 0.627
O1 0.000 0.027 0.741
O2 0.242 0.250 0.506
```

No. 2
# Ba7AcRh3
Computed X-ray powder pattern, Cu Kα (weighted mean of Kα1 and Kα2). Input: a crystal structure in Alexandria, relaxed with PBE.
Neutral-atom scattering factors, no anomalous dispersion.

Most intense lines, 2θ from 10° to 90°, in order of rising 2θ:
d/Å  Position (°2θ)  I/Imax
7.437  11.90  27
6.883  12.86  12
3.718  23.93  13
3.440  25.90  100
3.426  26.01  9
2.685  33.37  42
2.244  40.18  12
2.236  40.33  23
2.092  43.26  20
2.083  43.44  10
1.921  47.33  9
1.879  48.45  12

Atomic structure:
```
data_Ba7AcRh3
_space_group_name_H-M_alt 'C 1 m 1'
_space_group_IT_number 8
_cell_length_a 14.873
_cell_length_b 8.977
_cell_length_c 10.706
_cell_angle_alpha 90.00
_cell_angle_beta 133.72
_cell_angle_gamma 90.00
loop_
_space_group_symop_operation_xyz
'x,y,z'
'x,-y,z'
'x+1/2,y+1/2,z'
'x+1/2,-y+1/2,z'
loop_
_atom_site_label
_atom_site_fract_x
_atom_site_fract_y
_atom_site_fract_z
Ba1 0.000 0.000 0.000
Ba2 0.001 0.500 0.003
Ba3 0.065 0.500 0.673
Ba4 0.251 0.257 0.512
Ba5 0.314 0.257 0.165
Ac1 0.048 0.000 0.668
Rh1 0.034 0.242 0.831
Rh2 0.292 0.500 0.349
```

No. 3
# ErMnCoB2
Computed X-ray powder pattern, Cu Kα (weighted mean of Kα1 and Kα2). Input: a crystal structure in Alexandria, relaxed with PBE.
Neutral-atom scattering factors, no anomalous dispersion.

Most intense lines, 2θ from 10° to 90°, in order of rising 2θ:
d/Å  Position (°2θ)  I/Imax
3.308  26.95  90
2.352  38.27  27
2.345  38.38  48
2.207  40.89  100
1.767  51.73  28
1.661  55.32  16
1.559  59.29  21
1.412  66.18  40
1.328  70.97  19
1.250  76.19  8
1.210  79.14  11
1.103  88.66  14

Atomic structure:
```
data_ErMnCoB2
_space_group_name_H-M_alt 'I -4 m 2'
_space_group_IT_number 119
_space_group_name_Hall 'I -4 -2'
_cell_length_a 3.534
_cell_length_b 3.534
_cell_length_c 9.407
_cell_angle_alpha 90.00
_cell_angle_beta 90.00
_cell_angle_gamma 90.00
loop_
_atom_site_label
_atom_site_fract_x
_atom_site_fract_y
_atom_site_fract_z
Er1 0.000 0.000 0.000
Mn1 0.000 0.500 0.750
Co1 0.000 0.500 0.250
B1 0.000 0.000 0.366
```

No. 4
# Dy3YH8
Computed X-ray powder pattern, Cu Kα (weighted mean of Kα1 and Kα2). Input: a crystal structure in Alexandria, relaxed with PBE.
Neutral-atom scattering factors, no anomalous dispersion.

Most intense lines, 2θ from 10° to 90°, in order of rising 2θ:
d/Å  Position (°2θ)  I/Imax
5.181  17.11  4
3.664  24.30  4
2.991  29.87  100
2.590  34.63  49
2.317  38.87  2
2.115  42.75  2
1.832  49.78  37
1.562  59.14  43
1.496  62.06  12
1.295  73.05  6
1.189  80.87  18
1.159  83.43  16

Atomic structure:
```
data_Dy3YH8
_space_group_name_H-M_alt 'P m -3 m'
_space_group_IT_number 221
_space_group_name_Hall '-P 4 2 3'
_cell_length_a 5.181
_cell_length_b 5.181
_cell_length_c 5.181
_cell_angle_alpha 90.00
_cell_angle_beta 90.00
_cell_angle_gamma 90.00
loop_
_atom_site_label
_atom_site_fract_x
_atom_site_fract_y
_atom_site_fract_z
Dy1 0.000 0.000 0.500
Y1 0.500 0.500 0.500
H1 0.249 0.249 0.249
```

No. 5
# CsLiH4S2N2O6
Computed X-ray powder pattern, Cu Kα (weighted mean of Kα1 and Kα2). Input: a crystal structure in Alexandria, relaxed with PBE.
Neutral-atom scattering factors, no anomalous dispersion.

Most intense lines, 2θ from 10° to 90°, in order of rising 2θ:
d/Å  Position (°2θ)  I/Imax
4.317  20.57  48
4.112  21.61  57
3.975  22.37  23
3.931  22.62  100
3.906  22.77  31
3.617  24.61  24
3.428  25.99  27
3.259  27.36  43
3.244  27.49  48
3.096  28.84  26
2.769  32.33  30
2.282  39.49  37

Atomic structure:
```
data_CsLiH4S2N2O6
_space_group_name_H-M_alt 'P -1'
_space_group_IT_number 2
_cell_length_a 5.546
_cell_length_b 8.037
_cell_length_c 10.217
_cell_angle_alpha 77.97
_cell_angle_beta 76.72
_cell_angle_gamma 88.55
loop_
_space_group_symop_operation_xyz
'x,y,z'
'-x,-y,-z'
loop_
_atom_site_label
_atom_site_fract_x
_atom_site_fract_y
_atom_site_fract_z
Cs1 0.198 0.247 0.091
Li1 0.354 0.107 0.710
H1 0.027 0.457 0.645
H2 0.117 0.765 0.484
H3 0.180 0.960 0.509
H4 0.281 0.534 0.351
S1 0.194 0.742 0.187
S2 0.405 0.763 0.607
N1 0.133 0.612 0.342
N2 0.152 0.833 0.554
O1 0.021 0.147 0.812
O2 0.228 0.643 0.078
O3 0.360 0.581 0.662
O4 0.378 0.200 0.511
O5 0.420 0.861 0.712
O6 0.422 0.835 0.182
```